# 1
# Ru2Rh
Calculated XRD peak list, copper Kα. Input: a DFT-relaxed cell (GGA-PBE, Alexandria).
Lines closer than 0.1° are merged.

Structural model:
a = 12.164 Å, b = 12.164 Å, c = 12.164 Å
α = 167.28°, β = 167.28°, γ = 18.02°
Atoms (fractional coordinates):
1 Ru 0.295 0.545 0.750
2 Ru 0.455 0.705 0.750
3 Ru 0.545 0.295 0.250
4 Ru 0.705 0.455 0.250
5 Rh 0.125 0.875 0.250
6 Rh 0.875 0.125 0.750

Most intense lines, 15° ≤ 2θ ≤ 90°, low angle first:
2θ/deg, I/Imax
38.3, 100
42.7, 86
45.3, 39
48.4, 63
62.2, 19
69.8, 21
74.4, 23
82.5, 21
85.4, 22
87.2, 23

# 2
# Ru3Rh
Calculated XRD peak list, copper Kα. Input: a DFT-relaxed cell (GGA-PBE, Alexandria).
Lines closer than 0.1° are merged.

Structural model:
a = 4.707 Å, b = 8.763 Å, c = 5.423 Å
α = 90.00°, β = 90.00°, γ = 90.00°
Atoms (fractional coordinates):
1 Ru 0.083 0.250 0.126
2 Ru 0.248 0.502 0.875
3 Ru 0.248 0.998 0.875
4 Ru 0.252 0.002 0.375
5 Ru 0.252 0.498 0.375
6 Ru 0.417 0.750 0.626
7 Ru 0.583 0.250 0.374
8 Ru 0.748 0.502 0.625
9 Ru 0.748 0.998 0.625
10 Ru 0.752 0.002 0.125
11 Ru 0.752 0.498 0.125
12 Ru 0.917 0.750 0.874
13 Rh 0.083 0.250 0.624
14 Rh 0.417 0.750 0.124
15 Rh 0.583 0.250 0.876
16 Rh 0.917 0.750 0.376

Most intense lines, 15° ≤ 2θ ≤ 90°, low angle first:
2θ/deg, I/Imax
39.7, 45
41.2, 35
43.7, 100
49.8, 23
66.5, 9
69.2, 15
76.8, 18
83.8, 17
83.9, 9
85.6, 9

# 3
# Ru7Rh6
Calculated XRD peak list, copper Kα. Input: a DFT-relaxed cell (GGA-PBE, Alexandria).
Lines closer than 0.1° are merged.

Structural model:
a = 9.226 Å, b = 9.226 Å, c = 9.226 Å
α = 31.66°, β = 31.66°, γ = 31.66°
Atoms (fractional coordinates):
1 Ru 0.000 0.000 0.000
2 Ru 0.090 0.090 0.582
3 Ru 0.090 0.582 0.090
4 Ru 0.418 0.910 0.910
5 Ru 0.582 0.090 0.090
6 Ru 0.910 0.418 0.910
7 Ru 0.910 0.910 0.418
8 Rh 0.162 0.162 0.162
9 Rh 0.348 0.348 0.348
10 Rh 0.452 0.452 0.452
11 Rh 0.548 0.548 0.548
12 Rh 0.652 0.652 0.652
13 Rh 0.838 0.838 0.838

Most intense lines, 15° ≤ 2θ ≤ 90°, low angle first:
2θ/deg, I/Imax
35.7, 52
40.1, 50
41.2, 26
41.4, 100
41.6, 48
43.2, 45
43.8, 23
45.0, 49
48.3, 30
75.6, 41

# 4
# RuRh2
Calculated XRD peak list, copper Kα. Input: a DFT-relaxed cell (GGA-PBE, Alexandria).
Lines closer than 0.1° are merged.

Structural model:
a = 5.164 Å, b = 5.164 Å, c = 6.427 Å
α = 103.68°, β = 103.68°, γ = 30.58°
Atoms (fractional coordinates):
1 Ru 0.000 0.000 0.000
2 Ru 0.660 0.660 0.324
3 Rh 0.275 0.275 0.050
4 Rh 0.330 0.330 0.660
5 Rh 0.606 0.606 0.718
6 Rh 0.942 0.942 0.381

Most intense lines, 15° ≤ 2θ ≤ 90°, low angle first:
2θ/deg, I/Imax
38.0, 10
38.1, 20
41.3, 31
43.4, 20
43.6, 100
57.5, 9
68.8, 13
77.0, 11
83.7, 15
85.1, 8

# 5
# Ru3Rh
Calculated XRD peak list, copper Kα. Input: a DFT-relaxed cell (GGA-PBE, Alexandria).
Lines closer than 0.1° are merged.

Structural model:
a = 2.701 Å, b = 2.701 Å, c = 7.676 Å
α = 90.00°, β = 90.00°, γ = 90.00°
Atoms (fractional coordinates):
1 Ru 0.000 0.000 0.000
2 Ru 0.500 0.500 0.247
3 Ru 0.500 0.500 0.753
4 Rh 0.000 0.000 0.500

Most intense lines, 15° ≤ 2θ ≤ 90°, low angle first:
2θ/deg, I/Imax
40.8, 100
47.4, 16
47.6, 32
69.4, 20
69.6, 10
83.6, 12
84.0, 24
88.5, 11

# 6
# Ru4Rh3
Calculated XRD peak list, copper Kα. Input: a DFT-relaxed cell (GGA-PBE, Alexandria).
Lines closer than 0.1° are merged.

Structural model:
a = 7.242 Å, b = 7.242 Å, c = 4.319 Å
α = 90.00°, β = 90.00°, γ = 120.00°
Atoms (fractional coordinates):
1 Ru 0.096 0.480 0.250
2 Ru 0.333 0.667 0.750
3 Ru 0.384 0.904 0.250
4 Ru 0.480 0.384 0.750
5 Ru 0.520 0.616 0.250
6 Ru 0.616 0.096 0.750
7 Ru 0.667 0.333 0.250
8 Ru 0.904 0.520 0.750
9 Rh 0.045 0.241 0.750
10 Rh 0.196 0.955 0.750
11 Rh 0.241 0.196 0.250
12 Rh 0.759 0.804 0.750
13 Rh 0.804 0.045 0.250
14 Rh 0.955 0.759 0.250

Most intense lines, 15° ≤ 2θ ≤ 90°, low angle first:
2θ/deg, I/Imax
38.0, 25
41.8, 25
43.6, 100
57.8, 14
68.6, 17
77.6, 18
81.1, 3
83.7, 19
84.8, 14